Ag2TeO6: calculated powder XRD pattern (Cu Kα), based on DFT lattice parameters and positions (PBE).

Crystal structure
a = 6.022 Å, b = 16.772 Å, c = 11.100 Å
α = 90.00°, β = 90.00°, γ = 90.00°
Space group Fdd2 (No. 43)
Symmetry-distinct sites (fractional):
Ag (0.037, 0.418, 0.000)
Te (0.000, 0.000, 0.954)
O (0.040, 0.300, 0.091)
O (0.047, 0.159, 0.219)
O (0.076, 0.302, 0.332)

Top 6 peaks for 10 to 90 degrees two-theta, in order of rising 2θ:
| Position (°2θ) | intensity | hkl |
| --- | --- | --- |
| 19.18 | 100 | 0 2 2 |
| 23.14 | 17 | 1 3 1 |
| 31.58 | 56 | 1 5 1 |
| 32.26 | 17 | 0 0 4 |
| 33.87 | 32 | 2 0 2 |
| 41.36 | 22 | 1 7 1 |

=====

Cu2SnSe3: calculated powder XRD pattern (Cu Kα), based on DFT lattice parameters and positions (PBE).

Crystal structure
a = 7.057 Å, b = 12.218 Å, c = 7.096 Å
α = 90.00°, β = 109.67°, γ = 90.00°
Space group Cc (No. 9)
Symmetry-distinct sites (fractional):
Cu (0.000, 0.082, 0.000)
Cu (0.485, 0.253, 0.000)
Sn (0.477, 0.091, 0.483)
Se (0.087, 0.084, 0.362)
Se (0.122, 0.238, 0.862)
Se (0.129, 0.406, 0.385)

Top 6 peaks for 10 to 90 degrees two-theta, in order of rising 2θ:
| Position (°2θ) | intensity | hkl |
| --- | --- | --- |
| 26.74 | 100 | 0 0 2 |
| 26.83 | 31 | 2 0 0 |
| 44.29 | 33 | 1 3 -3 |
| 44.48 | 62 | 3 3 -1 |
| 52.54 | 19 | 3 3 -3 |
| 52.67 | 23 | 4 0 -2 |

=====

What did the first record say?
Ag2TeO6: calculated powder XRD pattern (Cu Kα), based on DFT lattice parameters and positions (PBE).

Crystal structure
a = 6.022 Å, b = 16.772 Å, c = 11.100 Å
α = 90.00°, β = 90.00°, γ = 90.00°
Space group Fdd2 (No. 43)
Symmetry-distinct sites (fractional):
Ag (0.037, 0.418, 0.000)
Te (0.000, 0.000, 0.954)
O (0.040, 0.300, 0.091)
O (0.047, 0.159, 0.219)
O (0.076, 0.302, 0.332)

Top 6 peaks for 10 to 90 degrees two-theta, in order of rising 2θ:
| Position (°2θ) | intensity | hkl |
| --- | --- | --- |
| 19.18 | 100 | 0 2 2 |
| 23.14 | 17 | 1 3 1 |
| 31.58 | 56 | 1 5 1 |
| 32.26 | 17 | 0 0 4 |
| 33.87 | 32 | 2 0 2 |
| 41.36 | 22 | 1 7 1 |